The following is a computed powder diffraction line list of Nd3Cu4P4O2. It was derived from a DFT-relaxed cell (PBE, Alexandria), using Cu Ka.
Intensities are scaled so that the largest is 100.

Structural model:
Unit cell a=4.000 b=4.000 c=26.666 alpha=90.00 beta=90.00 gamma=90.00
Space group I4/mmm (No. 139)
One atom of each set of equivalent atoms:
1 Nd 0.000 0.000 0.000 (multiplicity 2)
2 Nd 0.000 0.000 0.295 (multiplicity 4)
3 Cu 0.000 0.500 0.094 (multiplicity 8)
4 P 0.000 0.000 0.140 (multiplicity 4)
5 P 0.000 0.000 0.458 (multiplicity 4)
6 O 0.000 0.500 0.250 (multiplicity 4)

Principal peaks in the range 2θ = 15–90°, sorted by position:
2theta  I/Imax
24.40  55
27.88  18
32.45  100
33.61  26
34.45  55
37.70  66
45.35  57
49.97  17
52.36  19
56.86  37
57.61  23
66.07  18